This entry pairs a crystal structure of Ac8Co4Rh with its calculated powder diffraction line list. Radiation: λ = 1.5418 Å (Cu Kα). Structure: a DFT-relaxed cell (GGA-PBE, Alexandria).
Lines closer than 0.1° are merged.

Most intense lines, 2θ from 10° to 90°, most intense first:
| Position (°2θ) | I_rel | h k l |
| --- | --- | --- |
| 28.46 | 100 | 3 1 -3 |
| 27.22 | 84 | 3 1 0 |
| 44.11 | 55 | 1 1 4 |
| 26.58 | 44 | 6 0 -3 |
| 29.64 | 43 | 4 0 1 |
| 27.85 | 36 | 2 0 -4 |

Crystal structure
Cell: 20.225 4.274 13.855 Å, 90.00 130.84 90.00°
Space group Cm (No. 8)
One atom of each set of equivalent atoms:
Ac1 0.000 0.000 0.000
Ac2 0.027 0.000 0.745
Ac3 0.122 0.500 0.598
Ac4 0.203 0.500 0.066
Ac5 0.298 0.000 0.923
Ac6 0.329 0.000 0.666
Ac7 0.365 0.000 0.404
Ac8 0.453 0.500 0.263
Co1 0.000 0.000 0.511
Co2 0.026 0.500 0.893
Co3 0.307 0.500 0.797
Co4 0.322 0.000 0.150
Rh1 0.344 0.500 0.527